# Pu2UPt2
Simulated X-ray diffraction stick pattern, Cu Ka. Input: a structure optimized by DFT (GGA-PBE).
Neutral-atom scattering factors, no anomalous dispersion.

Top 12 peaks for 10 to 80 degrees two-theta, by angle:
2theta  d (Å)  Rel. int.
31.87  2.808  238
36.47  2.464  445
36.68  2.450  1000
37.00  2.430  768
39.53  2.280  521
40.80  2.212  94
41.52  2.175  147
54.87  1.673  282
65.56  1.424  108
69.44  1.354  78
69.84  1.347  219
70.05  1.343  124

Atomic structure:
abc: 5.7339 5.7339 8.6163
angles: 103.17 103.17 46.85
Fractional positions:
Pu: 0.0288 0.0288 0.3300
Pu: 0.1454 0.1454 0.1103
Pu: 0.8546 0.8546 0.8897
Pu: 0.9712 0.9712 0.6700
U: 0.2651 0.2651 0.7290
U: 0.7349 0.7349 0.2710
Pt: 0.3653 0.3653 0.4316
Pt: 0.4162 0.4162 0.1059
Pt: 0.5838 0.5838 0.8941
Pt: 0.6347 0.6347 0.5684